Theoretical powder XRD pattern of Na4AcPa3N8 for Cu Kα, 1.54184 Å, from a crystal structure in Alexandria, relaxed with GGA-PBE.

Most intense lines, 2θ from 5° to 70°, by angle:
| 2θ/deg | I (rel.) | h k l |
| --- | --- | --- |
| 15.41 | 100 | 2 0 -1 |
| 28.55 | 21 | 2 0 1 |
| 29.03 | 39 | 0 2 1 |
| 30.15 | 23 | 0 0 2 |
| 30.31 | 45 | 2 2 0 |
| 31.10 | 22 | 4 0 -2 |
| 34.89 | 24 | 4 0 0 |
| 35.55 | 45 | 2 2 -2 |
| 38.71 | 17 | 4 2 -1 |
| 50.04 | 17 | 2 2 2 |

Structure:
a = 12.311 Å, b = 7.197 Å, c = 7.093 Å
α = 90.00°, β = 123.32°, γ = 90.00°
Space group C2/m (No. 12)
Inequivalent atoms, fractional coordinates:
Na 0.000 0.000 0.000 x2
Na 0.000 0.500 0.000 x2
Na 0.250 0.250 0.500 x4
Ac 0.000 0.000 0.500 x2
Pa 0.000 0.500 0.500 x2
Pa 0.250 0.250 0.000 x4
N 0.026 0.274 0.741 x8
N 0.233 0.500 0.774 x4
N 0.246 0.000 0.803 x4

Theoretical powder XRD pattern of PuGeSbN for Cu Kα, 1.54184 Å, from a crystal structure in Alexandria, relaxed with GGA-PBE.

Most intense lines, 2θ from 5° to 70°, by angle:
| 2θ/deg | I (rel.) | h k l |
| --- | --- | --- |
| 10.12 | 62 | 0 0 2 |
| 30.69 | 28 | 0 0 6 |
| 32.22 | 100 | 1 0 3 |
| 38.39 | 15 | 1 0 5 |
| 40.35 | 31 | 1 1 0 |
| 51.53 | 27 | 1 1 6 |
| 55.53 | 20 | 1 0 9 |
| 58.39 | 10 | 2 0 0 |
| 67.41 | 12 | 2 0 6 |
| 68.27 | 24 | 2 1 3 |

Structure:
a = 3.161 Å, b = 3.161 Å, c = 17.480 Å
α = 90.00°, β = 90.00°, γ = 90.00°
Space group I4mm (No. 107)
Inequivalent atoms, fractional coordinates:
Pu 0.000 0.000 0.000 x2
Ge 0.000 0.000 0.656 x2
Sb 0.000 0.000 0.344 x2
N 0.000 0.000 0.544 x2

Theoretical powder XRD pattern of Na4MgF6 for Cu Kα, 1.54184 Å, from a crystal structure in Alexandria, relaxed with GGA-PBE.

Most intense lines, 2θ from 5° to 70°, by angle:
| 2θ/deg | I (rel.) | h k l |
| --- | --- | --- |
| 18.99 | 24 | 1 1 0 |
| 30.63 | 18 | 1 1 3 |
| 33.20 | 41 | 3 0 0 |
| 33.36 | 16 | 1 2 2 |
| 40.99 | 26 | 1 3 1 |
| 43.80 | 58 | 2 1 4 |
| 45.79 | 100 | 2 2 3 |
| 48.73 | 16 | 0 0 6 |
| 59.73 | 15 | 3 2 4 |
| 69.69 | 20 | 6 0 0 |

Structure:
a = 9.3482 Å, b = 9.3482 Å, c = 11.2111 Å
α = 90.00°, β = 90.00°, γ = 120.00°
Space group R-3c (No. 167, hexagonal axes)
Inequivalent atoms, fractional coordinates:
Na 0.0000 0.0000 0.2500 x6
Na 0.0000 0.3491 0.2500 x18
Mg 0.0000 0.0000 0.0000 x6
F 0.0353 0.1885 0.3961 x36